Record 1
# CsKTi2Cl8
Computed powder X-ray diffraction pattern, λ = 1.5418 Å (Cu Kα). Input: DFT lattice parameters and positions (PBE).

Structure:
Cell lengths 7.0291, 7.0291, 29.8245 Å; angles 90.00, 90.00, 120.00 degrees
Space group R-3 (No. 148, hexagonal axes)
Asymmetric unit:
Cs 0.0000 0.0000 0.0000
K 0.0000 0.0000 0.5000
Ti 0.0000 0.0000 0.2536
Cl 0.0000 0.0000 0.3299
Cl 0.0062 0.6272 0.4366

Peak list (6 most intense, 5° ≤ 2θ ≤ 70°, by angle)
| 2theta | I (rel.) |
| --- | --- |
| 18.82 | 79 |
| 25.34 | 37 |
| 26.91 | 100 |
| 31.17 | 48 |
| 44.66 | 68 |
| 52.91 | 34 |

---

Record 2
# Sr8LiNi2
Computed powder X-ray diffraction pattern, λ = 1.5418 Å (Cu Kα). Input: DFT lattice parameters and positions (PBE).

Structure:
Cell lengths 6.3130, 9.6824, 9.6872 Å; angles 60.02, 89.99, 90.00 degrees
Space group P-1 (No. 2)
Asymmetric unit:
Sr 0.2411 0.1667 0.1665
Sr 0.2577 0.1613 0.6678
Sr 0.2577 0.6680 0.6707
Sr 0.2577 0.6708 0.1613
Li 0.0000 0.5000 0.5000
Ni 0.2572 0.8333 0.8335

Peak list (6 most intense, 5° ≤ 2θ ≤ 70°, by angle)
| 2theta | I (rel.) |
| --- | --- |
| 21.18 | 54 |
| 25.50 | 100 |
| 28.27 | 36 |
| 35.60 | 30 |
| 37.13 | 53 |
| 47.31 | 34 |

---

Record 3
# Cs4KLiGa2F12
Computed powder X-ray diffraction pattern, λ = 1.5418 Å (Cu Kα). Input: DFT lattice parameters and positions (PBE).

Structure:
Cell lengths 6.4269, 6.4269, 31.1756 Å; angles 90.00, 90.00, 120.00 degrees
Space group R-3m (No. 166, hexagonal axes)
Asymmetric unit:
Cs 0.0000 0.0000 0.1328
Cs 0.0000 0.0000 0.2857
K 0.0000 0.0000 0.0000
Li 0.0000 0.0000 0.5000
Ga 0.0000 0.0000 0.4155
F 0.0469 0.5235 0.2848
F 0.0600 0.5300 0.1221

Peak list (6 most intense, 5° ≤ 2θ ≤ 70°, by angle)
| 2theta | I (rel.) |
| --- | --- |
| 25.62 | 100 |
| 27.76 | 93 |
| 38.13 | 65 |
| 47.82 | 30 |
| 57.35 | 20 |
| 60.53 | 19 |

---

Record 4
# K4InAg4
Computed powder X-ray diffraction pattern, λ = 1.5418 Å (Cu Kα). Input: DFT lattice parameters and positions (PBE).

Structure:
Cell lengths 9.8712, 9.8712, 6.6715 Å; angles 90.00, 90.00, 90.00 degrees
Space group P4_2/n (No. 86, origin choice 2)
Asymmetric unit:
K 0.0659 0.6611 0.1105
In 0.2500 0.2500 0.7500
Ag 0.1065 0.3084 0.3944

Peak list (6 most intense, 5° ≤ 2θ ≤ 70°, by angle)
| 2theta | I (rel.) |
| --- | --- |
| 12.68 | 100 |
| 17.97 | 20 |
| 28.87 | 29 |
| 31.65 | 33 |
| 33.68 | 32 |
| 35.44 | 24 |

---

Record 5
# Rb2PmCl5
Computed powder X-ray diffraction pattern, λ = 1.5418 Å (Cu Kα). Input: DFT lattice parameters and positions (PBE).

Structure:
Cell lengths 13.4860, 8.9268, 8.3696 Å; angles 90.00, 90.00, 90.00 degrees
Space group Pnma (No. 62)
Asymmetric unit:
Rb 0.1712 0.0048 0.0570
Pm 0.0048 0.2500 0.5703
Cl 0.0128 0.2500 0.9014
Cl 0.0698 0.5423 0.6602
Cl 0.1744 0.2500 0.3867
Cl 0.1938 0.7500 0.3501

Peak list (6 most intense, 5° ≤ 2θ ≤ 70°, by angle)
| 2theta | I (rel.) |
| --- | --- |
| 22.45 | 100 |
| 23.53 | 98 |
| 23.91 | 58 |
| 30.01 | 67 |
| 32.19 | 62 |
| 40.54 | 57 |

---

Record 6
# La2HIr2
Computed powder X-ray diffraction pattern, λ = 1.5418 Å (Cu Kα). Input: DFT lattice parameters and positions (PBE).

Structure:
Cell lengths 5.6699, 5.6699, 6.5550 Å; angles 90.00, 90.00, 90.00 degrees
Space group I4/mmm (No. 139)
Asymmetric unit:
La 0.0000 0.5000 0.2500
H 0.0000 0.0000 0.0000
Ir 0.0000 0.0000 0.2871

Peak list (6 most intense, 5° ≤ 2θ ≤ 70°, by angle)
| 2theta | I (rel.) |
| --- | --- |
| 27.21 | 64 |
| 31.56 | 100 |
| 42.15 | 80 |
| 45.23 | 37 |
| 53.59 | 40 |
| 65.86 | 26 |